This entry pairs a crystal structure of LiSn4Au3 with its computed PXRD pattern. Radiation: Cu Ka. Structure: the PBE geometry in Alexandria.
Lines closer than 0.1° are merged.

Structure:
```
data_LiSn4Au3
_space_group_name_H-M_alt 'P 63 m c'
_space_group_IT_number 186
_space_group_name_Hall 'P 6c -2c'
_cell_length_a 4.6049
_cell_length_b 4.6049
_cell_length_c 20.6959
_cell_angle_alpha 90.00
_cell_angle_beta 90.00
_cell_angle_gamma 120.00
loop_
_atom_site_label
_atom_site_fract_x
_atom_site_fract_y
_atom_site_fract_z
_atom_site_occupancy
Li1 0.3333 0.6667 0.0000 1
Sn1 0.0000 0.0000 0.0854 1
Sn2 0.0000 0.0000 0.3161 1
Sn3 0.3333 0.6667 0.4152 1
Sn4 0.3333 0.6667 0.6950 1
Au1 0.0000 0.0000 0.4530 1
Au2 0.3333 0.6667 0.1328 1
Au3 0.3333 0.6667 0.2741 1
```

Peak list (10 most intense, 2θ = 10–90°, low angle first)
Position (°2θ), Rel. int.
22.71, 43
23.91, 53
25.82, 31
37.88, 56
39.12, 100
41.61, 45
47.48, 30
55.59, 19
70.07, 19
72.59, 18

---

This entry pairs a crystal structure of LiSn2Au4 with its computed PXRD pattern. Radiation: Cu Ka. Structure: the PBE geometry in Alexandria.
Lines closer than 0.1° are merged.

Structure:
```
data_LiSn2Au4
_space_group_name_H-M_alt 'C 1 c 1'
_space_group_IT_number 9
_cell_length_a 10.876
_cell_length_b 8.068
_cell_length_c 8.466
_cell_angle_alpha 90.00
_cell_angle_beta 126.28
_cell_angle_gamma 90.00
loop_
_space_group_symop_operation_xyz
'x,y,z'
'x,-y,z+1/2'
'x+1/2,y+1/2,z'
'x+1/2,-y+1/2,z+1/2'
loop_
_atom_site_label
_atom_site_fract_x
_atom_site_fract_y
_atom_site_fract_z
_atom_site_occupancy
Li1 0.000 0.143 0.000 1
Sn1 0.000 0.500 0.250 1
Sn2 0.250 0.250 0.750 1
Au1 0.042 0.151 0.352 1
Au2 0.208 0.406 0.156 1
Au3 0.293 0.094 0.343 1
Au4 0.458 0.348 0.149 1
```

Peak list (10 most intense, 2θ = 10–90°, low angle first)
Position (°2θ), Rel. int.
23.47, 33
24.33, 27
25.65, 64
26.11, 45
33.01, 100
34.90, 37
35.15, 66
36.18, 28
42.95, 26
45.81, 57

---

This entry pairs a crystal structure of Li6SnAu6 with its computed PXRD pattern. Radiation: Cu Ka. Structure: the PBE geometry in Alexandria.
Lines closer than 0.1° are merged.

Structure:
```
data_Li6SnAu6
_space_group_name_H-M_alt 'P 6/m m m'
_space_group_IT_number 191
_space_group_name_Hall '-P 6 2'
_cell_length_a 5.5419
_cell_length_b 5.5419
_cell_length_c 8.9760
_cell_angle_alpha 90.00
_cell_angle_beta 90.00
_cell_angle_gamma 120.00
loop_
_atom_site_label
_atom_site_fract_x
_atom_site_fract_y
_atom_site_fract_z
_atom_site_occupancy
Li1 0.0000 0.0000 0.1804 1
Li2 0.3333 0.6667 0.0000 1
Li3 0.3333 0.6667 0.5000 1
Sn1 0.0000 0.0000 0.5000 1
Au1 0.0000 0.5000 0.2485 1
```

Peak list (10 most intense, 2θ = 10–90°, low angle first)
Position (°2θ), Rel. int.
18.49, 24
19.78, 100
27.20, 64
37.48, 96
38.17, 30
40.19, 27
42.73, 92
54.57, 20
56.11, 60
81.68, 22

---

This entry pairs a crystal structure of LiSn2Au4 with its computed PXRD pattern. Radiation: Cu Ka. Structure: the PBE geometry in Alexandria.
Lines closer than 0.1° are merged.

Structure:
```
data_LiSn2Au4
_space_group_name_H-M_alt 'P -1'
_space_group_IT_number 2
_cell_length_a 5.497
_cell_length_b 6.973
_cell_length_c 7.823
_cell_angle_alpha 80.26
_cell_angle_beta 89.65
_cell_angle_gamma 89.34
loop_
_space_group_symop_operation_xyz
'x,y,z'
'-x,-y,-z'
loop_
_atom_site_label
_atom_site_fract_x
_atom_site_fract_y
_atom_site_fract_z
_atom_site_occupancy
Li1 0.214 0.388 0.248 1
Sn1 0.222 0.901 0.706 1
Sn2 0.349 0.329 0.661 1
Au1 0.025 0.300 0.949 1
Au2 0.156 0.668 0.453 1
Au3 0.257 0.996 0.204 1
Au4 0.469 0.704 0.999 1
```

Peak list (10 most intense, 2θ = 10–90°, low angle first)
Position (°2θ), Rel. int.
11.48, 64
24.49, 100
26.55, 68
28.38, 64
32.84, 53
34.70, 53
37.74, 85
37.91, 95
39.33, 94
40.22, 86

---

This entry pairs a crystal structure of Li4SnAu7 with its computed PXRD pattern. Radiation: Cu Ka. Structure: the PBE geometry in Alexandria.
Lines closer than 0.1° are merged.

Structure:
```
data_Li4SnAu7
_space_group_name_H-M_alt 'C 1 2/m 1'
_space_group_IT_number 12
_cell_length_a 10.739
_cell_length_b 5.147
_cell_length_c 9.751
_cell_angle_alpha 90.00
_cell_angle_beta 120.25
_cell_angle_gamma 90.00
loop_
_space_group_symop_operation_xyz
'x,y,z'
'-x,-y,-z'
'-x,y,-z'
'x,-y,z'
'x+1/2,y+1/2,z'
'-x+1/2,-y+1/2,-z'
'-x+1/2,y+1/2,-z'
'x+1/2,-y+1/2,z'
loop_
_atom_site_label
_atom_site_fract_x
_atom_site_fract_y
_atom_site_fract_z
_atom_site_occupancy
Li1 0.092 0.000 0.272 1
Li2 0.233 0.500 0.156 1
Sn1 0.000 0.500 0.500 1
Au1 0.000 0.000 0.500 1
Au2 0.069 0.500 0.833 1
Au3 0.135 0.000 0.018 1
Au4 0.215 0.500 0.413 1
```

Peak list (10 most intense, 2θ = 10–90°, low angle first)
Position (°2θ), Rel. int.
21.09, 34
25.18, 100
34.56, 47
34.86, 51
35.69, 19
39.82, 44
41.69, 17
41.88, 18
42.73, 19
49.90, 34

---

This entry pairs a crystal structure of LiSnAu5 with its computed PXRD pattern. Radiation: Cu Ka. Structure: the PBE geometry in Alexandria.
Lines closer than 0.1° are merged.

Structure:
```
data_LiSnAu5
_space_group_name_H-M_alt 'C m c m'
_space_group_IT_number 63
_space_group_name_Hall '-C 2c 2'
_cell_length_a 7.609
_cell_length_b 6.057
_cell_length_c 11.398
_cell_angle_alpha 90.00
_cell_angle_beta 90.00
_cell_angle_gamma 90.00
loop_
_atom_site_label
_atom_site_fract_x
_atom_site_fract_y
_atom_site_fract_z
_atom_site_occupancy
Li1 0.000 0.000 0.000 1
Sn1 0.000 0.366 0.250 1
Au1 0.000 0.074 0.750 1
Au2 0.202 0.363 0.603 1
```

Peak list (10 most intense, 2θ = 10–90°, low angle first)
Position (°2θ), Rel. int.
23.38, 17
28.20, 49
37.99, 100
38.48, 24
38.82, 80
39.51, 66
45.53, 22
47.86, 29
62.64, 15
70.12, 27

---

This entry pairs a crystal structure of SrLi2Sn2Au2 with its computed PXRD pattern. Radiation: Cu Ka. Structure: the PBE geometry in Alexandria.
Lines closer than 0.1° are merged.

Structure:
```
data_SrLi2Sn2Au2
_space_group_name_H-M_alt 'R -3 m'
_space_group_IT_number 166
_space_group_name_Hall '-R 3 2"'
_cell_length_a 4.5941
_cell_length_b 4.5941
_cell_length_c 26.6203
_cell_angle_alpha 90.00
_cell_angle_beta 90.00
_cell_angle_gamma 120.00
loop_
_atom_site_label
_atom_site_fract_x
_atom_site_fract_y
_atom_site_fract_z
_atom_site_occupancy
Sr1 0.0000 0.0000 0.0000 1
Li1 0.0000 0.0000 0.1426 1
Sn1 0.0000 0.0000 0.2511 1
Au1 0.0000 0.0000 0.4445 1
```

Peak list (10 most intense, 2θ = 10–90°, low angle first)
Position (°2θ), Rel. int.
20.01, 39
22.60, 57
26.09, 81
30.22, 27
32.57, 52
39.22, 100
40.78, 48
44.41, 31
50.29, 39
60.27, 30

---

This entry pairs a crystal structure of SrLiAu10 with its computed PXRD pattern. Radiation: Cu Ka. Structure: the PBE geometry in Alexandria.
Lines closer than 0.1° are merged.

Structure:
```
data_SrLiAu10
_space_group_name_H-M_alt 'P m m m'
_space_group_IT_number 47
_cell_length_a 4.689
_cell_length_b 5.582
_cell_length_c 9.779
_cell_angle_alpha 90.00
_cell_angle_beta 90.00
_cell_angle_gamma 90.00
loop_
_space_group_symop_operation_xyz
'x,y,z'
'-x,-y,-z'
'-x,-y,z'
'x,y,-z'
'x,-y,-z'
'-x,y,z'
'-x,y,-z'
'x,-y,z'
loop_
_atom_site_label
_atom_site_fract_x
_atom_site_fract_y
_atom_site_fract_z
_atom_site_occupancy
Sr1 0.000 0.000 0.000 1
Li1 0.000 0.500 0.500 1
Au1 0.000 0.000 0.343 1
Au2 0.000 0.500 0.184 1
Au3 0.500 0.000 0.500 1
Au4 0.500 0.248 0.249 1
Au5 0.500 0.500 0.000 1
```

Peak list (10 most intense, 2θ = 10–90°, low angle first)
Position (°2θ), Rel. int.
18.14, 45
18.30, 78
37.26, 95
37.50, 48
38.40, 60
41.66, 44
41.96, 100
42.82, 30
60.61, 23
79.41, 28

---

This entry pairs a crystal structure of SrLi6Au2 with its computed PXRD pattern. Radiation: Cu Ka. Structure: the PBE geometry in Alexandria.
Lines closer than 0.1° are merged.

Structure:
```
data_SrLi6Au2
_space_group_name_H-M_alt 'P 4/m m m'
_space_group_IT_number 123
_space_group_name_Hall '-P 4 2'
_cell_length_a 4.319
_cell_length_b 4.319
_cell_length_c 10.140
_cell_angle_alpha 90.00
_cell_angle_beta 90.00
_cell_angle_gamma 90.00
loop_
_atom_site_label
_atom_site_fract_x
_atom_site_fract_y
_atom_site_fract_z
_atom_site_occupancy
Sr1 0.000 0.000 0.000 1
Li1 0.000 0.000 0.500 1
Li2 0.000 0.500 0.295 1
Li3 0.500 0.500 0.500 1
Au1 0.500 0.500 0.143 1
```

Peak list (10 most intense, 2θ = 10–90°, low angle first)
Position (°2θ), Rel. int.
20.56, 79
22.37, 34
29.24, 82
30.57, 72
33.67, 100
39.78, 28
41.29, 58
41.83, 37
54.73, 51
60.23, 38

---

This entry pairs a crystal structure of Sr4Li3Au2 with its computed PXRD pattern. Radiation: Cu Ka. Structure: the PBE geometry in Alexandria.
Lines closer than 0.1° are merged.

Structure:
```
data_Sr4Li3Au2
_space_group_name_H-M_alt 'C 1 2/m 1'
_space_group_IT_number 12
_cell_length_a 17.852
_cell_length_b 4.565
_cell_length_c 7.380
_cell_angle_alpha 90.00
_cell_angle_beta 107.89
_cell_angle_gamma 90.00
loop_
_space_group_symop_operation_xyz
'x,y,z'
'-x,-y,-z'
'-x,y,-z'
'x,-y,z'
'x+1/2,y+1/2,z'
'-x+1/2,-y+1/2,-z'
'-x+1/2,y+1/2,-z'
'x+1/2,-y+1/2,z'
loop_
_atom_site_label
_atom_site_fract_x
_atom_site_fract_y
_atom_site_fract_z
_atom_site_occupancy
Sr1 0.067 0.000 0.338 1
Sr2 0.230 0.500 0.205 1
Li1 0.000 0.500 0.000 1
Li2 0.100 0.500 0.740 1
Au1 0.111 0.000 0.943 1
```

Peak list (10 most intense, 2θ = 10–90°, low angle first)
Position (°2θ), Rel. int.
12.60, 82
20.14, 100
20.88, 32
24.68, 48
27.54, 60
30.33, 56
32.19, 63
32.86, 51
33.88, 38
48.83, 30

---

This entry pairs a crystal structure of Sr3Li2Au7 with its computed PXRD pattern. Radiation: Cu Ka. Structure: the PBE geometry in Alexandria.
Lines closer than 0.1° are merged.

Structure:
```
data_Sr3Li2Au7
_space_group_name_H-M_alt 'R -3 m'
_space_group_IT_number 166
_space_group_name_Hall '-R 3 2"'
_cell_length_a 5.8851
_cell_length_b 5.8851
_cell_length_c 26.5460
_cell_angle_alpha 90.00
_cell_angle_beta 90.00
_cell_angle_gamma 120.00
loop_
_atom_site_label
_atom_site_fract_x
_atom_site_fract_y
_atom_site_fract_z
_atom_site_occupancy
Sr1 0.0000 0.0000 0.0000 1
Sr2 0.0000 0.0000 0.1404 1
Li1 0.0000 0.0000 0.3324 1
Au1 0.0000 0.0000 0.5000 1
Au2 0.0024 0.5012 0.9220 1
```

Peak list (10 most intense, 2θ = 10–90°, low angle first)
Position (°2θ), Rel. int.
17.72, 56
20.07, 71
32.19, 56
35.39, 99
35.88, 72
36.68, 100
39.21, 80
42.75, 63
63.20, 47
77.99, 52

---

This entry pairs a crystal structure of Sr3Li3Au with its computed PXRD pattern. Radiation: Cu Ka. Structure: the PBE geometry in Alexandria.
Lines closer than 0.1° are merged.

Structure:
```
data_Sr3Li3Au
_space_group_name_H-M_alt 'I m m 2'
_space_group_IT_number 44
_cell_length_a 4.584
_cell_length_b 4.746
_cell_length_c 21.313
_cell_angle_alpha 90.00
_cell_angle_beta 90.00
_cell_angle_gamma 90.00
loop_
_space_group_symop_operation_xyz
'x,y,z'
'-x,-y,z'
'-x,y,z'
'x,-y,z'
'x+1/2,y+1/2,z+1/2'
'-x+1/2,-y+1/2,z+1/2'
'-x+1/2,y+1/2,z+1/2'
'x+1/2,-y+1/2,z+1/2'
loop_
_atom_site_label
_atom_site_fract_x
_atom_site_fract_y
_atom_site_fract_z
_atom_site_occupancy
Sr1 0.000 0.000 0.000 1
Sr2 0.000 0.000 0.369 1
Sr3 0.000 0.500 0.201 1
Li1 0.000 0.000 0.556 1
Li2 0.000 0.000 0.819 1
Li3 0.000 0.500 0.636 1
Au1 0.000 0.500 0.759 1
```

Peak list (10 most intense, 2θ = 10–90°, low angle first)
Position (°2θ), Rel. int.
16.64, 30
19.16, 28
22.53, 45
23.09, 23
28.33, 100
28.60, 53
31.92, 27
35.01, 23
37.21, 28
48.17, 25

---

This entry pairs a crystal structure of SrLi4Au4 with its computed PXRD pattern. Radiation: Cu Ka. Structure: the PBE geometry in Alexandria.
Lines closer than 0.1° are merged.

Structure:
```
data_SrLi4Au4
_space_group_name_H-M_alt 'I 4/m'
_space_group_IT_number 87
_space_group_name_Hall '-I 4'
_cell_length_a 8.415
_cell_length_b 8.415
_cell_length_c 4.726
_cell_angle_alpha 90.00
_cell_angle_beta 90.00
_cell_angle_gamma 90.00
loop_
_atom_site_label
_atom_site_fract_x
_atom_site_fract_y
_atom_site_fract_z
_atom_site_occupancy
Sr1 0.000 0.000 0.000 1
Li1 0.075 0.371 0.000 1
Au1 0.138 0.244 0.500 1
```

Peak list (10 most intense, 2θ = 10–90°, low angle first)
Position (°2θ), Rel. int.
21.12, 33
21.57, 15
30.36, 100
33.68, 41
37.28, 27
38.08, 23
43.23, 38
51.74, 25
55.70, 17
69.47, 18